This entry pairs a crystal structure of SrTb2WO8 with its theoretical XRD peak list. Radiation: Cu Kα (λ = 1.5418 Å). Structure: a DFT-relaxed cell (PBE+U, Alexandria).
No peak broadening, texture or thermal motion is included.

Structure:
abc: 4.1887 5.4284 6.9918
angles: 90.55 107.10 90.69
Fractional positions:
Sr1 0.0000 0.0000 0.0000
Tb1 0.3771 0.4831 0.7041
Tb2 0.6229 0.5169 0.2959
W1 0.0000 0.0000 0.5000
O1 0.1771 0.5054 0.9986
O2 0.1876 0.2360 0.3586
O3 0.1931 0.7038 0.4115
O4 0.3558 0.0554 0.7533
O5 0.6442 0.9446 0.2467
O6 0.8069 0.2962 0.5885
O7 0.8124 0.7640 0.6414
O8 0.8229 0.4946 0.0014

The 12 most intense peaks (5 to 70 degrees two-theta), by angle:
d/Å	Rel. int.
6.682	81.5
3.991	35.6
3.246	91.2
3.198	66.8
3.043	100.0
2.863	61.9
2.828	53.2
2.714	79.0
2.645	32.8
2.259	26.7
2.025	85.8
1.868	24.9